No. 1
Structure and theoretical powder X-ray diffraction pattern of SrTm2TaN4 (a DFT-relaxed cell (GGA-PBE, Alexandria); Cu Kα (λ = 1.5418 Å)).
Intensities are scaled so that the largest is 100.

Atomic structure:
Lattice parameters (Å, degrees): 3.4200 12.0959 12.0389 90.00 90.00 90.00
Space group Cmcm (No. 63)
Asymmetric unit:
1 Sr 0.0000 0.0987 0.2500 (multiplicity 4)
2 Tm 0.0000 0.3715 0.0333 (multiplicity 8)
3 Ta 0.0000 0.1662 0.7500 (multiplicity 4)
4 N 0.0000 0.0000 0.0000 (multiplicity 4)
5 N 0.0000 0.2567 0.6169 (multiplicity 8)
6 N 0.0000 0.4253 0.2500 (multiplicity 4)

The 10 most intense peaks (15° ≤ 2θ ≤ 90°), low angle first:
Position (°2θ)	d_spacing	I_rel	hkl
16.40	5.404	43	0 2 1
29.54	3.024	49	0 4 0
29.68	3.010	56	0 0 4
30.97	2.888	100	1 1 2
35.25	2.546	43	1 1 3
37.58	2.393	100	1 3 2
40.32	2.237	28	0 2 5
42.37	2.133	28	0 4 4
51.61	1.771	38	1 5 3
62.43	1.488	26	2 0 4

No. 2
Structure and theoretical powder X-ray diffraction pattern of Ba2SrAl2 (a DFT-relaxed cell (GGA-PBE, Alexandria); Cu Kα (λ = 1.5418 Å)).
Intensities are scaled so that the largest is 100.

Atomic structure:
Lattice parameters (Å, degrees): 11.0774 4.8931 7.3027 90.00 91.24 90.00
Space group C2/m (No. 12)
Asymmetric unit:
1 Ba 0.1495 0.0000 0.3590 (multiplicity 4)
2 Sr 0.0000 0.5000 0.0000 (multiplicity 2)
3 Al 0.2073 0.0000 0.8950 (multiplicity 4)

The 10 most intense peaks (15° ≤ 2θ ≤ 90°), low angle first:
Position (°2θ)	d_spacing	I_rel	hkl
19.90	4.461	71	2 0 -1
23.40	3.801	100	1 1 1
29.60	3.018	39	2 0 2
30.33	2.947	79	3 1 0
31.49	2.841	71	1 1 -2
34.91	2.570	21	4 0 1
36.73	2.447	27	0 2 0
42.13	2.145	19	2 2 -1
47.86	1.900	20	2 2 2
48.95	1.861	19	3 1 3

No. 3
Structure and theoretical powder X-ray diffraction pattern of RbSrTlS2 (a DFT-relaxed cell (GGA-PBE, Alexandria); Cu Kα (λ = 1.5418 Å)).
Intensities are scaled so that the largest is 100.

Atomic structure:
Lattice parameters (Å, degrees): 8.0656 7.7080 7.8118 90.00 94.98 90.00
Space group P2/c (No. 13)
Asymmetric unit:
1 Rb 0.0000 0.0712 0.2500 (multiplicity 2)
2 Sr 0.5000 0.0110 0.7500 (multiplicity 2)
3 Tl 0.5000 0.5000 0.0000 (multiplicity 2)
4 S 0.2954 0.1747 0.9898 (multiplicity 4)

The 10 most intense peaks (15° ≤ 2θ ≤ 90°), low angle first:
Position (°2θ)	d_spacing	I_rel	hkl
15.93	5.562	60	1 1 0
22.13	4.018	44	2 0 0
23.08	3.854	36	0 2 0
25.64	3.474	100	0 1 2
27.17	3.282	21	1 1 -2
28.78	3.102	19	1 1 2
32.18	2.781	49	2 2 0
32.75	2.735	51	2 1 -2
35.45	2.532	54	2 1 2
42.15	2.144	23	0 3 2